Entry 1:
Computed powder diffraction line list of Zr4Pd2O for Cu Kα X-rays, from a DFT-relaxed cell (PBE, the Materials Project).

Most intense lines, 10° ≤ 2θ ≤ 90°, sorted by position:
2θ (°)	Rel. int.
31.00	56
34.95	303
37.15	1000
40.58	262
43.16	88
50.27	59
51.93	50
56.18	55
62.69	311
64.13	83
68.37	70
75.17	185

Cell and atoms:
a b c (Å): 8.8921 8.8921 8.8921
angles (deg): 60.00 60.00 60.00
Element x y z (fractional)
Zr: 0.0000 0.0000 0.0000
Zr: 0.0000 0.0000 0.5000
Zr: 0.0000 0.5000 0.0000
Zr: 0.1938 0.1938 0.5562
Zr: 0.1938 0.5562 0.1938
Zr: 0.1938 0.5562 0.5562
Zr: 0.4438 0.4438 0.8062
Zr: 0.4438 0.8062 0.4438
Zr: 0.4438 0.8062 0.8062
Zr: 0.5000 0.0000 0.0000
Zr: 0.5562 0.1938 0.1938
Zr: 0.5562 0.1938 0.5562
Zr: 0.5562 0.5562 0.1938
Zr: 0.8062 0.4438 0.4438
Zr: 0.8062 0.4438 0.8062
Zr: 0.8062 0.8062 0.4438
Pd: 0.1449 0.7850 0.7850
Pd: 0.2150 0.2150 0.2150
Pd: 0.2150 0.2150 0.8551
Pd: 0.2150 0.8551 0.2150
Pd: 0.7850 0.1449 0.7850
Pd: 0.7850 0.7850 0.1449
Pd: 0.7850 0.7850 0.7850
Pd: 0.8551 0.2150 0.2150
O: 0.0000 0.5000 0.5000
O: 0.5000 0.0000 0.5000
O: 0.5000 0.5000 0.0000
O: 0.5000 0.5000 0.5000


Entry 2:
Computed powder diffraction line list of Pm2O3 for Cu Kα X-rays, from a DFT-relaxed cell (PBE, the Materials Project).

Most intense lines, 10° ≤ 2θ ≤ 90°, sorted by position:
2θ (°)	Rel. int.
19.63	95
27.90	1000
32.32	339
34.34	55
41.57	78
46.36	405
54.98	331
56.33	60
57.65	68
74.70	93
76.99	69
85.97	63

Cell and atoms:
a b c (Å): 9.5940 9.5940 9.5940
angles (deg): 109.47 109.47 109.47
Element x y z (fractional)
Pm: 0.0000 0.0000 0.5000
Pm: 0.0000 0.5000 0.0000
Pm: 0.0313 0.7500 0.7813
Pm: 0.2187 0.9687 0.2500
Pm: 0.2500 0.2187 0.9687
Pm: 0.2500 0.7187 0.4687
Pm: 0.2813 0.5313 0.7500
Pm: 0.4687 0.2500 0.7187
Pm: 0.5000 0.0000 0.0000
Pm: 0.5000 0.5000 0.5000
Pm: 0.5313 0.7500 0.2813
Pm: 0.7187 0.4687 0.2500
Pm: 0.7500 0.2813 0.5313
Pm: 0.7500 0.7813 0.0313
Pm: 0.7813 0.0313 0.7500
Pm: 0.9687 0.2500 0.2187
O: 0.0119 0.0408 0.2713
O: 0.0290 0.4881 0.7594
O: 0.0408 0.2713 0.0119
O: 0.2287 0.2695 0.7406
O: 0.2305 0.4592 0.4710
O: 0.2406 0.9710 0.5119
O: 0.2594 0.7713 0.7305
O: 0.2695 0.7406 0.2287
O: 0.2713 0.0119 0.0408
O: 0.4592 0.4710 0.2305
O: 0.4710 0.2305 0.4592
O: 0.4881 0.7594 0.0290
O: 0.5119 0.2406 0.9710
O: 0.5290 0.7695 0.5408
O: 0.5408 0.5290 0.7695
O: 0.7287 0.9881 0.9592
O: 0.7305 0.2594 0.7713
O: 0.7406 0.2287 0.2695
O: 0.7594 0.0290 0.4881
O: 0.7695 0.5408 0.5290
O: 0.7713 0.7305 0.2594
O: 0.9592 0.7287 0.9881
O: 0.9710 0.5119 0.2406
O: 0.9881 0.9592 0.7287


Entry 3:
Computed powder diffraction line list of Pm2O3 for Cu Kα X-rays, from a DFT-relaxed cell (PBE, the Materials Project).

Most intense lines, 10° ≤ 2θ ≤ 90°, sorted by position:
2θ (°)	Rel. int.
26.93	282
29.57	279
30.79	1000
40.42	254
47.56	318
53.24	278
57.01	267
57.74	175
74.14	102
77.96	149
81.16	95
85.56	78

Cell and atoms:
a b c (Å): 3.8234 3.8234 6.0411
angles (deg): 90.00 90.00 120.00
Element x y z (fractional)
Pm: 0.3333 0.6667 0.2491
Pm: 0.6667 0.3333 0.7509
O: 0.0000 0.0000 0.0000
O: 0.3333 0.6667 0.6449
O: 0.6667 0.3333 0.3551


Entry 4:
Computed powder diffraction line list of Pm2O3 for Cu Kα X-rays, from a DFT-relaxed cell (PBE, the Materials Project).

Most intense lines, 10° ≤ 2θ ≤ 90°, sorted by position:
2θ (°)	Rel. int.
27.56	893
28.65	930
29.27	970
30.37	598
30.87	887
31.69	1000
41.28	521
46.31	614
49.90	326
52.38	377
54.18	366
58.91	279

Cell and atoms:
a b c (Å): 7.4675 7.4675 8.9733
angles (deg): 99.97 99.97 28.33
Element x y z (fractional)
Pm: 0.0322 0.0322 0.3134
Pm: 0.3076 0.3076 0.3610
Pm: 0.3662 0.3662 0.0106
Pm: 0.6338 0.6338 0.9894
Pm: 0.6924 0.6924 0.6390
Pm: 0.9678 0.9678 0.6866
O: 0.1293 0.1293 0.7853
O: 0.1749 0.1749 0.4733
O: 0.2021 0.2021 0.1260
O: 0.4734 0.4734 0.8435
O: 0.5000 0.5000 0.5000
O: 0.5266 0.5266 0.1565
O: 0.7979 0.7979 0.8740
O: 0.8251 0.8251 0.5267
O: 0.8707 0.8707 0.2147